1.
ZrBe3Se: theoretical powder XRD pattern (Cu Ka), based on a crystal structure in Alexandria, relaxed with PBE.

Crystal structure
Cell lengths 4.2854, 4.2854, 4.2854 Å; angles 90.00, 90.00, 90.00 degrees
Positions (direct):
Zr (0.0000, 0.0000, 0.0000)
Be (0.0000, 0.5000, 0.5000)
Be (0.5000, 0.0000, 0.5000)
Be (0.5000, 0.5000, 0.0000)
Se (0.5000, 0.5000, 0.5000)

Principal peaks in the range 10 to 90 degrees two-theta, most intense first:
d [Å], two_theta, I (rel.)
3.030, 29.48, 100
1.750, 52.29, 39
2.143, 42.17, 24
1.145, 84.61, 19
1.355, 69.34, 16
1.515, 61.17, 16



2.
Pa2AsPRu6: theoretical powder XRD pattern (Cu Ka), based on a crystal structure in Alexandria, relaxed with PBE.

Crystal structure
Cell lengths 5.8327, 8.4958, 7.4915 Å; angles 90.00, 90.00, 90.00 degrees
Positions (direct):
Pa (0.2500, 0.0023, 0.2325)
Pa (0.2500, 0.4977, 0.2325)
Pa (0.7500, 0.5023, 0.7675)
Pa (0.7500, 0.9977, 0.7675)
As (0.2500, 0.2500, 0.6856)
As (0.7500, 0.7500, 0.3144)
P (0.2500, 0.7500, 0.7933)
P (0.7500, 0.2500, 0.2067)
Ru (0.0028, 0.2500, 0.9779)
Ru (0.0262, 0.2500, 0.4074)
Ru (0.2500, 0.0044, 0.8545)
Ru (0.2500, 0.4956, 0.8545)
Ru (0.4738, 0.2500, 0.4074)
Ru (0.4972, 0.2500, 0.9779)
Ru (0.5028, 0.7500, 0.0221)
Ru (0.5262, 0.7500, 0.5926)
Ru (0.7500, 0.5044, 0.1455)
Ru (0.7500, 0.9956, 0.1455)
Ru (0.9738, 0.7500, 0.5926)
Ru (0.9972, 0.7500, 0.0221)

Principal peaks in the range 10 to 90 degrees two-theta, most intense first:
d [Å], two_theta, I (rel.)
2.404, 37.40, 100
2.300, 39.17, 88
2.809, 31.85, 82
3.121, 28.60, 60
2.124, 42.56, 53
2.020, 44.88, 49



3.
Ni2S: theoretical powder XRD pattern (Cu Ka), based on a crystal structure in Alexandria, relaxed with PBE.

Crystal structure
Cell lengths 3.2894, 11.7812, 4.0922 Å; angles 90.00, 90.00, 90.00 degrees
Positions (direct):
Ni (0.0000, 0.0636, 0.0000)
Ni (0.0000, 0.2799, 0.7853)
Ni (0.0000, 0.7201, 0.2853)
Ni (0.0000, 0.9364, 0.5000)
Ni (0.5000, 0.2201, 0.2853)
Ni (0.5000, 0.4364, 0.5000)
Ni (0.5000, 0.5636, 0.0000)
Ni (0.5000, 0.7799, 0.7853)
S (0.0000, 0.1234, 0.4974)
S (0.0000, 0.8766, 0.9974)
S (0.5000, 0.3766, 0.9974)
S (0.5000, 0.6234, 0.4974)

Principal peaks in the range 10 to 90 degrees two-theta, most intense first:
d [Å], two_theta, I (rel.)
3.168, 28.17, 100
2.505, 35.85, 83
2.391, 37.63, 64
1.735, 52.77, 58
1.719, 53.30, 53
1.933, 47.01, 49



4.
PaTlB2O8: theoretical powder XRD pattern (Cu Ka), based on a crystal structure in Alexandria, relaxed with PBE.

Crystal structure
Cell lengths 4.8285, 4.8285, 7.2238 Å; angles 93.40, 93.40, 66.20 degrees
Positions (direct):
Pa (0.0000, 0.0000, 0.0000)
Tl (0.0000, 0.0000, 0.5000)
B (0.3481, 0.3481, 0.7480)
B (0.6519, 0.6519, 0.2520)
O (0.2214, 0.6814, 0.7646)
O (0.2387, 0.2387, 0.9021)
O (0.2642, 0.2642, 0.5598)
O (0.3186, 0.7786, 0.2354)
O (0.6814, 0.2214, 0.7646)
O (0.7358, 0.7358, 0.4402)
O (0.7613, 0.7613, 0.0979)
O (0.7786, 0.3186, 0.2354)

Principal peaks in the range 10 to 90 degrees two-theta, most intense first:
d [Å], two_theta, I (rel.)
4.415, 20.11, 100
4.035, 22.03, 41
2.846, 31.44, 39
2.740, 32.69, 38
3.603, 24.71, 26
2.396, 37.54, 25